[1]
# Sn2P2O7
Theoretical PXRD pattern, CuKα. Input: a crystal structure in the Materials Project, relaxed with PBE.
No peak broadening, texture or thermal motion is included.

Peak list (6 most intense, 2θ from 10° to 90°, sorted by position)
2theta	I (rel.)
25.5	58
25.6	39
26.4	57
27.6	100
28.6	45
33.0	38

Atomic structure:
abc: 6.986 7.044 13.018
angles: 83.33 89.97 89.99
Sites, in units of the cell vectors:
Sn  0.090  0.291  0.136
Sn  0.255  0.679  0.350
Sn  0.333  0.303  0.862
Sn  0.339  0.881  0.623
Sn  0.661  0.119  0.377
Sn  0.667  0.697  0.138
Sn  0.745  0.321  0.650
Sn  0.910  0.709  0.864
P  0.167  0.803  0.085
P  0.184  0.201  0.412
P  0.232  0.401  0.600
P  0.424  0.792  0.900
P  0.576  0.208  0.100
P  0.768  0.599  0.400
P  0.816  0.799  0.588
P  0.833  0.197  0.915
O  0.002  0.687  0.041
O  0.008  0.132  0.359
O  0.087  0.422  0.685
O  0.088  0.973  0.134
O  0.111  0.290  0.515
O  0.295  0.891  0.986
O  0.296  0.636  0.861
O  0.299  0.358  0.346
O  0.299  0.592  0.539
O  0.301  0.671  0.155
O  0.322  0.034  0.452
O  0.397  0.296  0.041
O  0.401  0.270  0.638
O  0.470  0.957  0.819
O  0.530  0.043  0.181
O  0.599  0.730  0.362
O  0.603  0.704  0.959
O  0.678  0.966  0.548
O  0.699  0.329  0.845
O  0.701  0.408  0.461
O  0.701  0.642  0.654
O  0.704  0.364  0.139
O  0.705  0.109  0.014
O  0.889  0.710  0.485
O  0.912  0.027  0.866
O  0.913  0.578  0.315
O  0.992  0.868  0.641
O  0.998  0.313  0.959



[2]
# Sn4P2O9
Theoretical PXRD pattern, CuKα. Input: a crystal structure in the Materials Project, relaxed with PBE.
No peak broadening, texture or thermal motion is included.

Peak list (6 most intense, 2θ from 10° to 90°, sorted by position)
2theta	I (rel.)
26.0	85
28.3	87
29.3	100
31.5	84
32.9	69
50.3	99

Atomic structure:
abc: 9.730 7.253 13.699
angles: 90.00 90.00 90.00
Sites, in units of the cell vectors:
Sn  0.034  0.250  0.110
Sn  0.135  0.515  0.664
Sn  0.135  0.985  0.664
Sn  0.192  0.750  0.409
Sn  0.308  0.250  0.909
Sn  0.365  0.015  0.164
Sn  0.365  0.485  0.164
Sn  0.466  0.750  0.610
Sn  0.534  0.250  0.390
Sn  0.635  0.515  0.836
Sn  0.635  0.985  0.836
Sn  0.692  0.750  0.091
Sn  0.808  0.250  0.591
Sn  0.865  0.015  0.336
Sn  0.865  0.485  0.336
Sn  0.966  0.750  0.890
P  0.044  0.750  0.137
P  0.150  0.250  0.450
P  0.350  0.750  0.950
P  0.456  0.250  0.637
P  0.544  0.750  0.363
P  0.650  0.250  0.050
P  0.850  0.750  0.550
P  0.956  0.250  0.863
O  0.043  0.250  0.769
O  0.064  0.250  0.951
O  0.085  0.072  0.406
O  0.085  0.428  0.406
O  0.107  0.250  0.564
O  0.132  0.572  0.129
O  0.132  0.928  0.129
O  0.195  0.750  0.937
O  0.202  0.750  0.562
O  0.298  0.250  0.062
O  0.305  0.250  0.437
O  0.368  0.072  0.629
O  0.368  0.428  0.629
O  0.393  0.750  0.064
O  0.415  0.572  0.906
O  0.415  0.928  0.906
O  0.436  0.750  0.451
O  0.457  0.750  0.269
O  0.543  0.250  0.731
O  0.564  0.250  0.549
O  0.585  0.072  0.094
O  0.585  0.428  0.094
O  0.607  0.250  0.936
O  0.632  0.572  0.371
O  0.632  0.928  0.371
O  0.695  0.750  0.563
O  0.702  0.750  0.938
O  0.798  0.250  0.438
O  0.805  0.250  0.063
O  0.868  0.072  0.871
O  0.868  0.428  0.871
O  0.893  0.750  0.436
O  0.915  0.572  0.594
O  0.915  0.928  0.594
O  0.936  0.750  0.049
O  0.957  0.750  0.231



[3]
# SnP4O12
Theoretical PXRD pattern, CuKα. Input: a crystal structure in the Materials Project, relaxed with PBE.
No peak broadening, texture or thermal motion is included.

Peak list (6 most intense, 2θ from 10° to 90°, sorted by position)
2theta	I (rel.)
14.2	100
18.5	81
19.6	39
23.8	56
29.1	90
30.4	32

Atomic structure:
abc: 7.545 7.545 10.129
angles: 112.00 112.00 67.00
Sites, in units of the cell vectors:
Sn  0.000  0.500  0.000
Sn  0.500  0.000  0.500
P  0.159  0.191  0.684
P  0.191  0.159  0.184
P  0.241  0.752  0.970
P  0.248  0.759  0.530
P  0.752  0.241  0.470
P  0.759  0.248  0.030
P  0.809  0.841  0.816
P  0.841  0.809  0.316
O  0.033  0.837  0.848
O  0.040  0.710  0.425
O  0.152  0.297  0.842
O  0.163  0.967  0.652
O  0.171  0.687  0.066
O  0.196  0.336  0.150
O  0.290  0.960  0.075
O  0.297  0.152  0.342
O  0.313  0.829  0.434
O  0.336  0.196  0.650
O  0.376  0.601  0.602
O  0.399  0.624  0.898
O  0.601  0.376  0.102
O  0.624  0.399  0.398
O  0.664  0.804  0.350
O  0.687  0.171  0.566
O  0.703  0.848  0.658
O  0.710  0.040  0.925
O  0.804  0.664  0.850
O  0.829  0.313  0.934
O  0.837  0.033  0.348
O  0.848  0.703  0.158
O  0.960  0.290  0.575
O  0.967  0.163  0.152



[4]
# Sn2P3O10
Theoretical PXRD pattern, CuKα. Input: a crystal structure in the Materials Project, relaxed with PBE.
No peak broadening, texture or thermal motion is included.

Peak list (6 most intense, 2θ from 10° to 90°, sorted by position)
2theta	I (rel.)
14.4	50
21.5	100
24.3	87
24.5	69
34.6	43
36.6	44

Atomic structure:
abc: 12.626 8.038 9.775
angles: 90.00 103.43 90.00
Sites, in units of the cell vectors:
Sn  0.091  0.108  0.234
Sn  0.091  0.392  0.734
Sn  0.353  0.552  0.548
Sn  0.353  0.948  0.048
Sn  0.647  0.052  0.952
Sn  0.647  0.448  0.452
Sn  0.909  0.608  0.266
Sn  0.909  0.892  0.766
P  0.149  0.718  0.545
P  0.149  0.782  0.045
P  0.235  0.075  0.592
P  0.235  0.425  0.092
P  0.447  0.581  0.228
P  0.447  0.919  0.728
P  0.553  0.081  0.272
P  0.553  0.419  0.772
P  0.765  0.575  0.908
P  0.765  0.925  0.408
P  0.851  0.218  0.955
P  0.851  0.282  0.455
O  0.027  0.720  0.502
O  0.027  0.780  0.002
O  0.188  0.603  0.121
O  0.188  0.897  0.621
O  0.193  0.198  0.683
O  0.193  0.302  0.183
O  0.199  0.583  0.658
O  0.199  0.917  0.158
O  0.213  0.692  0.429
O  0.213  0.808  0.929
O  0.218  0.114  0.438
O  0.218  0.386  0.938
O  0.365  0.067  0.657
O  0.365  0.433  0.157
O  0.419  0.724  0.125
O  0.419  0.776  0.625
O  0.433  0.609  0.378
O  0.433  0.891  0.878
O  0.436  0.022  0.263
O  0.436  0.478  0.763
O  0.564  0.522  0.237
O  0.564  0.978  0.737
O  0.567  0.109  0.122
O  0.567  0.391  0.622
O  0.581  0.224  0.375
O  0.581  0.276  0.875
O  0.635  0.567  0.843
O  0.635  0.933  0.343
O  0.782  0.614  0.062
O  0.782  0.886  0.562
O  0.787  0.192  0.071
O  0.787  0.308  0.571
O  0.801  0.083  0.842
O  0.801  0.417  0.342
O  0.807  0.698  0.817
O  0.807  0.802  0.317
O  0.812  0.103  0.379
O  0.812  0.397  0.879
O  0.973  0.220  0.998
O  0.973  0.280  0.498



[5]
# Sn4P2O9
Theoretical PXRD pattern, CuKα. Input: a crystal structure in the Materials Project, relaxed with PBE.
No peak broadening, texture or thermal motion is included.

Peak list (6 most intense, 2θ from 10° to 90°, sorted by position)
2theta	I (rel.)
25.3	86
28.7	100
29.3	74
30.9	94
31.9	45
46.1	40

Atomic structure:
abc: 9.483 7.111 14.595
angles: 90.00 105.42 90.00
Sites, in units of the cell vectors:
Sn  0.037  0.216  0.352
Sn  0.037  0.284  0.852
Sn  0.283  0.520  0.613
Sn  0.283  0.980  0.113
Sn  0.320  0.002  0.591
Sn  0.320  0.498  0.091
Sn  0.323  0.729  0.330
Sn  0.323  0.771  0.830
Sn  0.677  0.229  0.170
Sn  0.677  0.271  0.670
Sn  0.680  0.502  0.909
Sn  0.680  0.998  0.409
Sn  0.717  0.020  0.887
Sn  0.717  0.480  0.387
Sn  0.963  0.716  0.148
Sn  0.963  0.784  0.648
P  0.031  0.708  0.402
P  0.031  0.792  0.902
P  0.369  0.233  0.816
P  0.369  0.267  0.316
P  0.631  0.733  0.684
P  0.631  0.767  0.184
P  0.969  0.208  0.098
P  0.969  0.292  0.598
O  0.033  0.003  0.112
O  0.033  0.497  0.612
O  0.072  0.732  0.807
O  0.072  0.768  0.307
O  0.083  0.163  0.577
O  0.083  0.337  0.077
O  0.180  0.711  0.479
O  0.180  0.789  0.979
O  0.238  0.713  0.175
O  0.238  0.787  0.675
O  0.252  0.102  0.842
O  0.252  0.398  0.342
O  0.293  0.077  0.279
O  0.293  0.423  0.779
O  0.425  0.129  0.737
O  0.425  0.371  0.237
O  0.497  0.737  0.098
O  0.497  0.763  0.598
O  0.503  0.237  0.402
O  0.503  0.263  0.902
O  0.575  0.629  0.763
O  0.575  0.871  0.263
O  0.707  0.577  0.221
O  0.707  0.923  0.721
O  0.748  0.602  0.658
O  0.748  0.898  0.158
O  0.762  0.213  0.325
O  0.762  0.287  0.825
O  0.820  0.211  0.021
O  0.820  0.289  0.521
O  0.917  0.663  0.923
O  0.917  0.837  0.423
O  0.928  0.232  0.693
O  0.928  0.268  0.193
O  0.967  0.503  0.388
O  0.967  0.997  0.888